No. 1
Starting from a DFT-relaxed cell (GGA-PBE, OQMD), the X-ray diffraction stick pattern of RbAuI2Br was calculated for a wavelength of 1.5418 Å.
No peak broadening, texture or thermal motion is included.

Lattice parameters (Å, degrees): 8.2346 8.2346 11.6447 90.00 90.00 90.00
Space group I4/mmm (No. 139)
Symmetry-distinct sites (fractional):
Rb  0.0000  0.5000  0.2500 x4
Au  0.0000  0.0000  0.0000 x2
Au  0.0000  0.0000  0.5000 x2
I  0.2325  0.2325  0.0000 x8
Br  0.0000  0.0000  0.2877 x4

Main lines, most intense first (2θ = 5–70°):
2theta	d/Å	Rel. int.	hkl
30.71	2.911	100	2 2 0
15.22	5.823	78	0 0 2
43.99	2.059	69	4 0 0
21.58	4.117	46	1 1 2
34.44	2.604	38	2 2 2
26.51	3.362	24	2 0 2
54.60	1.681	23	4 0 4
46.81	1.941	20	0 0 6
37.85	2.377	19	3 1 2
59.39	1.556	15	3 1 6
49.50	1.841	15	1 1 6
57.03	1.615	13	2 2 6

=====

No. 2
Starting from a DFT-relaxed cell (GGA-PBE, OQMD), the X-ray diffraction stick pattern of LaNdCu2 was calculated for a wavelength of 1.5418 Å.
No peak broadening, texture or thermal motion is included.

Lattice parameters (Å, degrees): 4.5751 7.3594 5.6120 90.00 90.00 90.00
Space group Pmn2_1 (No. 31)
Symmetry-distinct sites (fractional):
La  0.0000  0.0711  0.0000 x2
Nd  0.0000  0.5681  0.2383 x2
Cu  0.0000  0.2210  0.4937 x2
Cu  0.0000  0.7123  0.7470 x2

Main lines, most intense first (2θ = 5–70°):
2theta	d/Å	Rel. int.	hkl
31.19	2.867	100	1 2 0
35.15	2.553	96	1 2 1
39.62	2.275	91	1 1 2
34.20	2.622	84	0 1 2
27.93	3.195	84	1 1 1
39.39	2.288	63	2 0 0
53.13	1.724	48	2 1 2
40.12	2.248	48	0 3 1
57.48	1.603	32	2 3 1
25.11	3.546	28	1 0 1
52.33	1.748	23	0 4 1
29.02	3.077	23	0 2 1

=====

No. 3
Starting from a DFT-relaxed cell (GGA-PBE, OQMD), the X-ray diffraction stick pattern of YErFe8B2 was calculated for a wavelength of 1.5418 Å.
No peak broadening, texture or thermal motion is included.

Lattice parameters (Å, degrees): 5.0506 5.0506 7.0275 90.00 90.00 120.00
Space group P6/mmm (No. 191)
Symmetry-distinct sites (fractional):
Y  0.0000  0.0000  0.0000 x1
Er  0.0000  0.0000  0.5000 x1
Fe  0.0000  0.5000  0.2145 x6
Fe  0.3333  0.6667  0.5000 x2
B  0.3333  0.6667  0.0000 x2

Main lines, most intense first (2θ = 5–70°):
2theta	d/Å	Rel. int.	hkl
44.16	2.051	100	1 1 2
32.69	2.739	83	1 0 2
41.28	2.187	74	2 0 0
35.55	2.525	28	1 1 0
37.86	2.377	27	1 1 1
62.04	1.496	26	2 1 2
69.85	1.347	24	3 0 2
68.51	1.370	18	2 0 4
38.43	2.343	16	0 0 3
52.05	1.757	15	0 0 4
64.63	1.442	13	1 1 4
12.60	7.028	12	0 0 1

=====

No. 4
Starting from a DFT-relaxed cell (GGA-PBE, OQMD), the X-ray diffraction stick pattern of SiNi2As was calculated for a wavelength of 1.5418 Å.
No peak broadening, texture or thermal motion is included.

Lattice parameters (Å, degrees): 5.0990 13.9611 6.0342 90.00 90.00 90.00
Space group Pbca (No. 61)
Symmetry-distinct sites (fractional):
Si  0.1801  0.0578  0.0694 x8
Ni  0.0098  0.0570  0.6954 x8
Ni  0.0172  0.6670  0.1973 x8
As  0.1861  0.6830  0.5700 x8

Main lines, most intense first (2θ = 5–70°):
2theta	d/Å	Rel. int.	hkl
46.62	1.948	100	2 0 2
34.52	2.598	80	1 4 1
52.48	1.744	53	0 8 0
29.57	3.021	32	0 4 1
47.84	1.901	27	1 5 2
49.13	1.855	20	1 1 3
35.17	2.552	17	2 0 0
26.20	3.401	15	1 2 1
39.75	2.268	15	1 3 2
56.65	1.625	11	3 1 1
35.80	2.508	10	2 1 0
38.70	2.327	8	0 6 0

=====

No. 5
Starting from a DFT-relaxed cell (GGA-PBE, OQMD), the X-ray diffraction stick pattern of NdLuGa4Ir2 was calculated for a wavelength of 1.5418 Å.
No peak broadening, texture or thermal motion is included.

Lattice parameters (Å, degrees): 4.2123 7.0918 5.5070 90.00 112.27 90.00
Space group Pm (No. 6)
Symmetry-distinct sites (fractional):
Nd  0.0000  0.0000  0.0000 x1
Lu  0.1441  0.5000  0.2881 x1
Ga  0.4270  0.3067  0.8514 x2
Ga  0.7146  0.2018  0.4307 x2
Ir  0.2825  0.0000  0.5671 x1
Ir  0.8616  0.5000  0.7194 x1

Main lines, most intense first (2θ = 5–70°):
2theta	d/Å	Rel. int.	hkl
34.20	2.622	100	1 2 0
36.32	2.474	64	1 1 -2
37.50	2.398	64	0 1 2
36.19	2.482	64	1 1 1
42.94	2.106	49	2 0 -1
25.11	3.546	44	0 2 0
44.86	2.021	31	1 3 -1
51.88	1.762	29	1 3 -2
17.40	5.096	22	0 0 1
22.84	3.893	19	1 0 0
58.19	1.585	18	2 1 1
58.42	1.580	18	2 1 -3